Entry 1:
Mo3Se4: theoretical powder diffractogram (Cu Kα), based on a crystal structure in the Materials Project, relaxed with PBE.
No peak broadening, texture or thermal motion is included.

Structural model:
```
Mo3Se4
1.0
4.721 0.000 0.000
-1.309 7.817 0.000
-1.161 -1.351 8.649
Mo Se
6 8
Direct
0.103 0.392 0.060
0.139 0.148 0.532
0.391 0.523 0.766
0.609 0.477 0.234
0.861 0.852 0.468
0.897 0.608 0.940
0.169 0.233 0.811
0.200 0.424 0.380
0.340 0.811 0.884
0.363 0.822 0.513
0.637 0.178 0.487
0.660 0.189 0.116
0.800 0.576 0.620
0.831 0.767 0.189
```

Top 8 peaks for 10 to 90 degrees two-theta, by angle:
| Position (°2θ) | Rel. int. |
| --- | --- |
| 11.46 | 97 |
| 16.53 | 52 |
| 21.95 | 48 |
| 30.51 | 40 |
| 34.78 | 61 |
| 34.85 | 100 |
| 38.73 | 50 |
| 43.07 | 44 |

***

Entry 2:
Ta10Si2MoSe8: theoretical powder diffractogram (Cu Kα), based on a crystal structure in the Materials Project, relaxed with PBE.
No peak broadening, texture or thermal motion is included.

Structural model:
```
Ta10Si2MoSe8
1.0
11.937 0.000 0.000
0.000 19.497 0.000
0.000 0.000 3.493
Ta Si Mo Se
20 4 2 16
Direct
0.048 0.241 0.000
0.063 0.113 0.500
0.161 0.787 0.500
0.177 0.953 0.500
0.179 0.355 0.500
0.321 0.855 0.000
0.323 0.453 0.000
0.339 0.287 0.000
0.437 0.613 0.000
0.452 0.741 0.500
0.548 0.259 0.500
0.563 0.387 0.000
0.661 0.713 0.000
0.677 0.547 0.000
0.679 0.145 0.000
0.821 0.645 0.500
0.823 0.047 0.500
0.839 0.213 0.500
0.937 0.887 0.500
0.952 0.759 0.000
0.092 0.872 0.000
0.408 0.372 0.500
0.592 0.628 0.500
0.908 0.128 0.000
0.000 0.000 0.000
0.500 0.500 0.500
0.040 0.673 0.500
0.109 0.447 0.000
0.211 0.056 0.000
0.216 0.212 0.500
0.284 0.712 0.000
0.289 0.556 0.500
0.391 0.947 0.500
0.460 0.173 0.000
0.540 0.827 0.000
0.609 0.053 0.500
0.711 0.444 0.500
0.716 0.288 0.000
0.784 0.788 0.500
0.789 0.944 0.000
0.891 0.553 0.000
0.960 0.327 0.500
```

Top 8 peaks for 10 to 90 degrees two-theta, by angle:
| Position (°2θ) | Rel. int. |
| --- | --- |
| 11.72 | 75 |
| 32.41 | 55 |
| 34.16 | 47 |
| 35.31 | 100 |
| 36.93 | 40 |
| 37.71 | 56 |
| 40.83 | 96 |
| 52.39 | 44 |

***

Entry 3:
SnMo6Se8: theoretical powder diffractogram (Cu Kα), based on a crystal structure in the Materials Project, relaxed with PBE.
No peak broadening, texture or thermal motion is included.

Structural model:
```
SnMo6Se8
1.0
4.831 2.789 3.995
-4.831 2.789 3.995
0.000 -5.579 3.995
Sn Mo Se
1 6 8
Direct
0.000 0.000 0.000
0.238 0.422 0.559
0.422 0.559 0.238
0.441 0.762 0.578
0.559 0.238 0.422
0.578 0.441 0.762
0.762 0.578 0.441
0.123 0.747 0.378
0.240 0.240 0.240
0.253 0.622 0.877
0.378 0.123 0.747
0.622 0.877 0.253
0.747 0.378 0.123
0.760 0.760 0.760
0.877 0.253 0.622
```

Top 8 peaks for 10 to 90 degrees two-theta, by angle:
| Position (°2θ) | Rel. int. |
| --- | --- |
| 12.90 | 78 |
| 29.00 | 34 |
| 32.05 | 80 |
| 39.09 | 35 |
| 39.55 | 63 |
| 41.52 | 43 |
| 43.80 | 100 |
| 56.97 | 36 |

***

Entry 4:
TbMo6Se8: theoretical powder diffractogram (Cu Kα), based on a crystal structure in the Materials Project, relaxed with PBE.
No peak broadening, texture or thermal motion is included.

Structural model:
```
TbMo6Se8
1.0
4.761 2.749 3.973
-4.761 2.749 3.973
0.000 -5.498 3.973
Tb Mo Se
1 6 8
Direct
0.000 0.000 0.000
0.234 0.423 0.559
0.423 0.559 0.234
0.441 0.766 0.577
0.559 0.234 0.423
0.577 0.441 0.766
0.766 0.577 0.441
0.122 0.756 0.372
0.237 0.237 0.237
0.244 0.628 0.878
0.372 0.122 0.756
0.628 0.878 0.244
0.756 0.372 0.122
0.763 0.763 0.763
0.878 0.244 0.628
```

Top 8 peaks for 10 to 90 degrees two-theta, by angle:
| Position (°2θ) | Rel. int. |
| --- | --- |
| 13.06 | 44 |
| 32.42 | 46 |
| 32.57 | 47 |
| 39.35 | 41 |
| 40.15 | 79 |
| 41.95 | 55 |
| 44.36 | 100 |
| 57.72 | 38 |